1.
Nb4GaTe8: theoretical powder diffractogram (Cu Kα, 1.54184 Å), based on a structure optimized by DFT (PBE).

Main lines, by angle (2θ from 10° to 80°):
2θ (°)  d_spacing  intensity
11.0  8.015  37
28.9  3.090  17
31.7  2.823  100
41.2  2.190  46
49.4  1.846  29
59.9  1.545  16
66.2  1.412  11
69.2  1.358  18

Structure:
Unit cell a=9.079 b=9.079 c=9.079 alpha=48.00 beta=48.00 gamma=48.00
Positions (direct):
Nb (0.000, 0.000, 0.000)
Nb (0.000, 0.500, 0.500)
Nb (0.500, 0.000, 0.500)
Nb (0.500, 0.500, 0.000)
Ga (0.500, 0.500, 0.500)
Te (0.243, 0.243, 0.744)
Te (0.243, 0.744, 0.243)
Te (0.256, 0.256, 0.256)
Te (0.256, 0.757, 0.757)
Te (0.744, 0.243, 0.243)
Te (0.744, 0.744, 0.744)
Te (0.757, 0.256, 0.757)
Te (0.757, 0.757, 0.256)

2.
Rb3InAu2: theoretical powder diffractogram (Cu Kα, 1.54184 Å), based on a structure optimized by DFT (PBE).

Main lines, by angle (2θ from 10° to 80°):
2θ (°)  d_spacing  intensity
17.6  5.046  45
19.4  4.587  100
25.8  3.452  51
26.0  3.425  46
26.7  3.344  99
28.6  3.126  46
29.5  3.024  45
32.4  2.766  70

Structure:
Unit cell a=9.670 b=10.912 c=11.491 alpha=90.00 beta=118.60 gamma=90.00
Positions (direct):
Rb (0.214, 0.218, 0.327)
Rb (0.214, 0.282, 0.827)
Rb (0.246, 0.540, 0.144)
Rb (0.246, 0.960, 0.644)
Rb (0.248, 0.580, 0.531)
Rb (0.248, 0.920, 0.031)
Rb (0.752, 0.080, 0.969)
Rb (0.752, 0.420, 0.469)
Rb (0.754, 0.040, 0.356)
Rb (0.754, 0.460, 0.856)
Rb (0.786, 0.718, 0.173)
Rb (0.786, 0.782, 0.673)
In (0.395, 0.604, 0.901)
In (0.395, 0.896, 0.401)
In (0.605, 0.104, 0.599)
In (0.605, 0.396, 0.099)
Au (0.069, 0.567, 0.785)
Au (0.069, 0.933, 0.285)
Au (0.437, 0.231, 0.164)
Au (0.437, 0.269, 0.664)
Au (0.563, 0.731, 0.336)
Au (0.563, 0.769, 0.836)
Au (0.931, 0.067, 0.715)
Au (0.931, 0.433, 0.215)

3.
GdCo4B4: theoretical powder diffractogram (Cu Kα, 1.54184 Å), based on a structure optimized by DFT (PBE).

Main lines, by angle (2θ from 10° to 80°):
2θ (°)  d_spacing  intensity
25.1  3.550  35
31.1  2.873  19
36.0  2.493  34
38.1  2.363  31
42.3  2.138  100
42.7  2.117  59
68.7  1.366  22
76.4  1.247  22

Structure:
Unit cell a=5.021 b=5.021 c=7.006 alpha=90.00 beta=90.00 gamma=90.00
Positions (direct):
Gd (0.250, 0.750, 0.250)
Gd (0.750, 0.250, 0.750)
Co (0.004, 0.750, 0.615)
Co (0.250, 0.504, 0.885)
Co (0.250, 0.996, 0.885)
Co (0.496, 0.750, 0.615)
Co (0.504, 0.250, 0.385)
Co (0.750, 0.004, 0.115)
Co (0.750, 0.496, 0.115)
Co (0.996, 0.250, 0.385)
B (0.075, 0.250, 0.090)
B (0.250, 0.075, 0.590)
B (0.250, 0.425, 0.590)
B (0.425, 0.250, 0.090)
B (0.575, 0.750, 0.910)
B (0.750, 0.575, 0.410)
B (0.750, 0.925, 0.410)
B (0.925, 0.750, 0.910)

4.
Tb2Sm3Bi3: theoretical powder diffractogram (Cu Kα, 1.54184 Å), based on a structure optimized by DFT (PBE).

Main lines, by angle (2θ from 10° to 80°):
2θ (°)  d_spacing  intensity
27.5  3.242  23
29.3  3.050  24
32.4  2.760  100
33.3  2.690  52
33.7  2.661  77
42.7  2.115  21
51.9  1.763  32
64.5  1.445  21

Structure:
Unit cell a=9.317 b=9.317 c=6.484 alpha=90.00 beta=90.00 gamma=120.00
Positions (direct):
Tb (0.333, 0.667, 0.000)
Tb (0.333, 0.667, 0.500)
Tb (0.667, 0.333, 0.000)
Tb (0.667, 0.333, 0.500)
Sm (0.000, 0.245, 0.250)
Sm (0.000, 0.755, 0.750)
Sm (0.245, 0.000, 0.250)
Sm (0.245, 0.245, 0.750)
Sm (0.755, 0.000, 0.750)
Sm (0.755, 0.755, 0.250)
Bi (0.000, 0.391, 0.750)
Bi (0.000, 0.609, 0.250)
Bi (0.391, 0.000, 0.750)
Bi (0.391, 0.391, 0.250)
Bi (0.609, 0.000, 0.250)
Bi (0.609, 0.609, 0.750)